# 1
YTi2CdO6F: simulated XRD peak list (CuKα), based on the PBE geometry in the Materials Project.

Most intense lines, 2θ from 10° to 90°, low angle first:
d (Å)  I (rel.)
5.989  181
2.995  1000
2.911  942
2.562  289
2.545  140
1.852  175
1.806  670
1.774  162
1.562  267
1.526  239

Unit cell a=7.2256 b=7.2256 c=7.2256 alpha=121.19 beta=118.33 gamma=90.44
Element x y z (fractional)
1 Y 0.0000 0.0000 0.0000
2 Y 0.5000 0.0000 0.5000
3 Ti 0.0000 0.5000 0.5000
4 Ti 0.5000 0.0000 0.0000
5 Ti 0.5000 0.5000 0.0000
6 Ti 0.5000 0.5000 0.5000
7 Cd 0.0000 0.0000 0.5000
8 Cd 0.0000 0.5000 0.0000
9 O 0.1709 0.4209 0.7500
10 O 0.1732 0.4133 0.3415
11 O 0.1732 0.8316 0.7598
12 O 0.4154 0.1654 0.2500
13 O 0.4282 0.1684 0.8415
14 O 0.4282 0.5867 0.2598
15 O 0.5718 0.4133 0.7402
16 O 0.5718 0.8316 0.1585
17 O 0.5846 0.8346 0.7500
18 O 0.8268 0.1684 0.2402
19 O 0.8268 0.5867 0.6585
20 O 0.8291 0.5791 0.2500
21 F 0.1338 0.8838 0.2500
22 F 0.8662 0.1162 0.7500

=====

# 2
Ga4SiO8: simulated XRD peak list (CuKα), based on the PBE geometry in the Materials Project.

Most intense lines, 2θ from 10° to 90°, low angle first:
d (Å)  I (rel.)
7.601  839
3.800  477
3.377  682
2.964  419
2.785  945
2.536  581
2.494  1000
2.408  586
1.659  411
1.568  446

Unit cell a=6.4009 b=6.4009 c=9.4082 alpha=124.97 beta=124.97 gamma=26.94
Element x y z (fractional)
1 Ga 0.0387 0.0387 0.2217
2 Ga 0.2552 0.2552 0.8557
3 Ga 0.7448 0.7448 0.1443
4 Ga 0.9613 0.9613 0.7783
5 Si 0.5000 0.5000 0.5000
6 O 0.0551 0.0551 0.4316
7 O 0.1462 0.1462 0.9631
8 O 0.3481 0.3481 0.2941
9 O 0.3855 0.3855 0.7987
10 O 0.6145 0.6145 0.2013
11 O 0.6519 0.6519 0.7059
12 O 0.8538 0.8538 0.0369
13 O 0.9449 0.9449 0.5684

=====

# 3
Sr3Ir2O7: simulated XRD peak list (CuKα), based on the PBE geometry in the Materials Project.

Most intense lines, 2θ from 10° to 90°, low angle first:
d (Å)  I (rel.)
5.200  361
3.261  697
3.060  1000
2.959  682
2.894  801
2.191  488
2.024  220
1.841  281
1.803  236
1.760  231

Unit cell a=5.8401 b=5.8401 c=6.9717 alpha=112.32 beta=112.32 gamma=67.88
Element x y z (fractional)
1 Sr 0.0000 0.0000 0.0000
2 Sr 0.1935 0.1935 0.6084
3 Sr 0.8065 0.8065 0.3916
4 Ir 0.4174 0.4174 0.2002
5 Ir 0.5826 0.5826 0.7998
6 O 0.1691 0.7440 0.2588
7 O 0.2560 0.8309 0.7412
8 O 0.2803 0.2803 0.3251
9 O 0.5000 0.5000 0.0000
10 O 0.7197 0.7197 0.6749
11 O 0.7440 0.1691 0.2588
12 O 0.8309 0.2560 0.7412

=====

Please write out number 3 again, unchanged.
Sr3Ir2O7: simulated XRD peak list (CuKα), based on the PBE geometry in the Materials Project.

Most intense lines, 2θ from 10° to 90°, low angle first:
d (Å)  I (rel.)
5.200  361
3.261  697
3.060  1000
2.959  682
2.894  801
2.191  488
2.024  220
1.841  281
1.803  236
1.760  231

Unit cell a=5.8401 b=5.8401 c=6.9717 alpha=112.32 beta=112.32 gamma=67.88
Element x y z (fractional)
1 Sr 0.0000 0.0000 0.0000
2 Sr 0.1935 0.1935 0.6084
3 Sr 0.8065 0.8065 0.3916
4 Ir 0.4174 0.4174 0.2002
5 Ir 0.5826 0.5826 0.7998
6 O 0.1691 0.7440 0.2588
7 O 0.2560 0.8309 0.7412
8 O 0.2803 0.2803 0.3251
9 O 0.5000 0.5000 0.0000
10 O 0.7197 0.7197 0.6749
11 O 0.7440 0.1691 0.2588
12 O 0.8309 0.2560 0.7412